This entry pairs a crystal structure of AcSmPuO6 with its computed powder XRD pattern. Radiation: Cu Kα, 1.54184 Å. Structure: the GGA-PBE geometry in Alexandria.
Peak positions follow from Bragg's law for the DFT cell and can differ from measured ones.

Peak list (6 most intense, 15 to 90 degrees two-theta, in order of falling intensity)
24.64°, intensity 100, (1 0 2)
30.18°, intensity 54, (1 1 0)
47.08°, intensity 44, (1 1 4)
50.37°, intensity 30, (2 1 2)
39.34°, intensity 29, (2 0 2)
53.61°, intensity 16, (3 0 0)

Structure:
a = 5.9224 Å, b = 5.9224 Å, c = 10.1804 Å
α = 90.00°, β = 90.00°, γ = 120.00°
Space group P-31c (No. 163)
One atom of each set of equivalent atoms:
Ac (0.0000, 0.0000, 0.0000) [2 per cell]
Sm (0.3333, 0.6667, 0.2500) [2 per cell]
Pu (0.3333, 0.6667, 0.7500) [2 per cell]
O (0.0327, 0.3746, 0.6401) [12 per cell]

---

This entry pairs a crystal structure of TbSm2PuS4 with its computed powder XRD pattern. Radiation: Cu Kα, 1.54184 Å. Structure: the GGA-PBE geometry in Alexandria.
Peak positions follow from Bragg's law for the DFT cell and can differ from measured ones.

Peak list (6 most intense, 15 to 90 degrees two-theta, in order of falling intensity)
31.84°, intensity 100, (1 1 1)
45.65°, intensity 49, (3 1 -1)
27.42°, intensity 44, (2 0 0)
27.55°, intensity 43, (1 1 -1)
54.00°, intensity 18, (1 1 3)
54.17°, intensity 18, (0 2 2)

Structure:
a = 6.887 Å, b = 3.961 Å, c = 6.897 Å
α = 90.00°, β = 109.25°, γ = 90.00°
Space group P2/m (No. 10)
One atom of each set of equivalent atoms:
Tb (0.000, 0.000, 0.000) [1 per cell]
Sm (0.000, 0.500, 0.500) [1 per cell]
Sm (0.500, 0.000, 0.500) [1 per cell]
Pu (0.500, 0.500, 0.000) [1 per cell]
S (0.247, 0.500, 0.243) [2 per cell]
S (0.251, 0.000, 0.756) [2 per cell]

---

This entry pairs a crystal structure of ZnAgHg with its computed powder XRD pattern. Radiation: Cu Kα, 1.54184 Å. Structure: the GGA-PBE geometry in Alexandria.
Peak positions follow from Bragg's law for the DFT cell and can differ from measured ones.

Peak list (6 most intense, 15 to 90 degrees two-theta, in order of falling intensity)
36.97°, intensity 100, (1 1 1)
38.26°, intensity 90, (3 1 -1)
32.73°, intensity 85, (0 2 1)
33.45°, intensity 83, (2 2 -1)
39.24°, intensity 83, (1 1 -2)
38.85°, intensity 76, (1 3 0)

Structure:
a = 7.598 Å, b = 7.597 Å, c = 5.207 Å
α = 90.00°, β = 130.72°, γ = 90.00°
Space group Cc (No. 9)
One atom of each set of equivalent atoms:
Zn (0.000, 0.003, 0.000) [4 per cell]
Ag (0.299, 0.219, 0.551) [4 per cell]
Hg (0.052, 0.368, 0.801) [4 per cell]

---

This entry pairs a crystal structure of Nb5Tc6 with its computed powder XRD pattern. Radiation: Cu Kα, 1.54184 Å. Structure: the GGA-PBE geometry in Alexandria.
Peak positions follow from Bragg's law for the DFT cell and can differ from measured ones.

Peak list (6 most intense, 15 to 90 degrees two-theta, in order of falling intensity)
40.44°, intensity 100, (2 0 -2)
73.56°, intensity 20, (0 2 3)
40.69°, intensity 19, (6 0 0)
73.88°, intensity 13, (8 2 1)
87.47°, intensity 10, (4 0 -4)
58.34°, intensity 7, (0 4 0)

Structure:
a = 14.026 Å, b = 6.327 Å, c = 4.460 Å
α = 90.00°, β = 108.44°, γ = 90.00°
Space group C2/m (No. 12)
One atom of each set of equivalent atoms:
Nb (0.000, 0.000, 0.000) [2 per cell]
Nb (0.160, 0.500, 0.660) [4 per cell]
Nb (0.167, 0.000, 0.667) [4 per cell]
Tc (0.000, 0.248, 0.500) [4 per cell]
Tc (0.166, 0.251, 0.166) [8 per cell]

---

This entry pairs a crystal structure of BeCuPb with its computed powder XRD pattern. Radiation: Cu Kα, 1.54184 Å. Structure: the GGA-PBE geometry in Alexandria.
Peak positions follow from Bragg's law for the DFT cell and can differ from measured ones.

Peak list (6 most intense, 15 to 90 degrees two-theta, in order of falling intensity)
34.83°, intensity 100, (1 0 1)
30.61°, intensity 36, (1 0 0)
16.22°, intensity 35, (0 0 1)
45.45°, intensity 33, (0 1 2)
32.77°, intensity 19, (0 0 2)
77.06°, intensity 19, (0 1 4)

Structure:
a = 3.3722 Å, b = 3.3722 Å, c = 5.4660 Å
α = 90.00°, β = 90.00°, γ = 120.00°
Space group P3m1 (No. 156)
One atom of each set of equivalent atoms:
Be (0.0000, 0.0000, 0.0000) [1 per cell]
Cu (0.6667, 0.3333, 0.2070) [1 per cell]
Pb (0.3333, 0.6667, 0.6155) [1 per cell]

---

This entry pairs a crystal structure of CrNi with its computed powder XRD pattern. Radiation: Cu Kα, 1.54184 Å. Structure: the GGA-PBE geometry in Alexandria.
Peak positions follow from Bragg's law for the DFT cell and can differ from measured ones.

Peak list (6 most intense, 15 to 90 degrees two-theta, in order of falling intensity)
47.79°, intensity 100, (1 1 1)
47.96°, intensity 93, (3 1 -1)
44.39°, intensity 85, (4 0 0)
46.53°, intensity 60, (4 0 -2)
46.20°, intensity 59, (0 0 2)
42.09°, intensity 56, (1 1 -1)

Structure:
a = 9.272 Å, b = 2.449 Å, c = 4.464 Å
α = 90.00°, β = 118.32°, γ = 90.00°
Space group C2/m (No. 12)
One atom of each set of equivalent atoms:
Cr (0.122, 0.000, 0.465) [4 per cell]
Ni (0.124, 0.500, 0.959) [4 per cell]

---

This entry pairs a crystal structure of Ac2LaPd3 with its computed powder XRD pattern. Radiation: Cu Kα, 1.54184 Å. Structure: the GGA-PBE geometry in Alexandria.
Peak positions follow from Bragg's law for the DFT cell and can differ from measured ones.

Peak list (6 most intense, 15 to 90 degrees two-theta, in order of falling intensity)
28.89°, intensity 100, (2 0 6)
41.28°, intensity 64, (2 4 6)
67.71°, intensity 18, (2 8 6)
24.95°, intensity 14, (2 2 0)
51.09°, intensity 14, (4 4 0)
51.28°, intensity 14, (0 4 12)

Structure:
a = 8.758 Å, b = 12.383 Å, c = 26.140 Å
α = 90.00°, β = 90.00°, γ = 90.00°
Space group Fddd (No. 70, origin choice 2)
One atom of each set of equivalent atoms:
Ac (0.125, 0.125, 0.042) [16 per cell]
Ac (0.125, 0.125, 0.374) [16 per cell]
La (0.125, 0.125, 0.542) [16 per cell]
Pd (0.117, 0.375, 0.875) [16 per cell]
Pd (0.121, 0.372, 0.710) [32 per cell]

---

This entry pairs a crystal structure of Ag3Te with its computed powder XRD pattern. Radiation: Cu Kα, 1.54184 Å. Structure: the GGA-PBE geometry in Alexandria.
Peak positions follow from Bragg's law for the DFT cell and can differ from measured ones.

Peak list (6 most intense, 15 to 90 degrees two-theta, in order of falling intensity)
35.63°, intensity 100, (1 1 4)
41.28°, intensity 34, (2 0 0)
71.59°, intensity 24, (3 1 4)
60.03°, intensity 19, (2 0 8)
41.58°, intensity 15, (0 0 8)
59.80°, intensity 11, (2 2 0)

Structure:
a = 4.374 Å, b = 4.374 Å, c = 17.376 Å
α = 90.00°, β = 90.00°, γ = 90.00°
Space group I4/mmm (No. 139)
One atom of each set of equivalent atoms:
Ag (0.000, 0.000, 0.115) [4 per cell]
Ag (0.000, 0.500, 0.000) [4 per cell]
Ag (0.000, 0.500, 0.250) [4 per cell]
Te (0.000, 0.000, 0.367) [4 per cell]

---

This entry pairs a crystal structure of HoGe2PtRh2 with its computed powder XRD pattern. Radiation: Cu Kα, 1.54184 Å. Structure: the GGA-PBE geometry in Alexandria.
Peak positions follow from Bragg's law for the DFT cell and can differ from measured ones.

Peak list (6 most intense, 15 to 90 degrees two-theta, in order of falling intensity)
37.95°, intensity 100, (1 0 2)
38.66°, intensity 76, (2 0 0)
55.29°, intensity 67, (2 1 2)
27.07°, intensity 66, (1 1 0)
55.82°, intensity 26, (2 2 0)
82.46°, intensity 21, (3 2 2)

Structure:
a = 4.658 Å, b = 4.658 Å, c = 5.509 Å
α = 90.00°, β = 90.00°, γ = 90.00°
Space group P4/mmm (No. 123)
One atom of each set of equivalent atoms:
Ho (0.000, 0.000, 0.000) [1 per cell]
Ge (0.000, 0.500, 0.500) [2 per cell]
Pt (0.000, 0.000, 0.500) [1 per cell]
Rh (0.500, 0.500, 0.242) [2 per cell]

---

This entry pairs a crystal structure of Li3CuAsCO7 with its computed powder XRD pattern. Radiation: Cu Kα, 1.54184 Å. Structure: the GGA-PBE geometry in Alexandria.
Peak positions follow from Bragg's law for the DFT cell and can differ from measured ones.

Peak list (6 most intense, 15 to 90 degrees two-theta, in order of falling intensity)
28.19°, intensity 100, (0 2 0)
24.02°, intensity 75, (1 0 -2)
18.06°, intensity 71, (1 0 -1)
34.80°, intensity 46, (2 0 0)
22.02°, intensity 43, (1 0 1)
33.23°, intensity 39, (1 1 2)

Structure:
a = 5.284 Å, b = 6.330 Å, c = 8.729 Å
α = 90.00°, β = 102.62°, γ = 90.00°
Space group P2_1/m (No. 11)
One atom of each set of equivalent atoms:
Li (0.146, 0.250, 0.079) [2 per cell]
Li (0.233, 0.501, 0.727) [4 per cell]
Cu (0.249, 0.750, 0.307) [2 per cell]
As (0.297, 0.250, 0.413) [2 per cell]
C (0.415, 0.750, 0.010) [2 per cell]
O (0.165, 0.047, 0.284) [4 per cell]
O (0.205, 0.250, 0.587) [2 per cell]
O (0.208, 0.750, 0.071) [2 per cell]
O (0.353, 0.250, 0.903) [2 per cell]
O (0.367, 0.750, 0.545) [2 per cell]
O (0.381, 0.750, 0.859) [2 per cell]

---

This entry pairs a crystal structure of BaGe2F6 with its computed powder XRD pattern. Radiation: Cu Kα, 1.54184 Å. Structure: the GGA-PBE geometry in Alexandria.
Peak positions follow from Bragg's law for the DFT cell and can differ from measured ones.

Peak list (6 most intense, 15 to 90 degrees two-theta, in order of falling intensity)
24.01°, intensity 100, (0 2 1)
30.07°, intensity 55, (3 1 0)
27.64°, intensity 54, (3 1 -2)
26.71°, intensity 40, (0 0 2)
25.53°, intensity 38, (3 1 -1)
39.17°, intensity 23, (3 1 1)

Structure:
a = 11.443 Å, b = 8.913 Å, c = 8.074 Å
α = 90.00°, β = 124.24°, γ = 90.00°
Space group C2/c (No. 15)
One atom of each set of equivalent atoms:
Ba (0.000, 0.165, 0.250) [4 per cell]
Ge (0.166, 0.416, 0.769) [8 per cell]
F (0.113, 0.390, 0.156) [8 per cell]
F (0.137, 0.031, 0.066) [8 per cell]
F (0.197, 0.357, 0.569) [8 per cell]

---

This entry pairs a crystal structure of Pr3Sn2Pd7 with its computed powder XRD pattern. Radiation: Cu Kα, 1.54184 Å. Structure: the GGA-PBE geometry in Alexandria.
Peak positions follow from Bragg's law for the DFT cell and can differ from measured ones.

Peak list (6 most intense, 15 to 90 degrees two-theta, in order of falling intensity)
33.82°, intensity 100, (1 1 -3)
36.13°, intensity 91, (1 1 3)
36.88°, intensity 87, (1 1 -4)
41.86°, intensity 82, (2 0 -1)
44.49°, intensity 75, (0 2 0)
40.79°, intensity 59, (0 0 7)

Structure:
a = 4.318 Å, b = 4.073 Å, c = 15.576 Å
α = 90.00°, β = 96.18°, γ = 90.00°
Space group P2/m (No. 10)
One atom of each set of equivalent atoms:
Pr (0.000, 0.000, 0.000) [1 per cell]
Pr (0.213, 0.000, 0.407) [2 per cell]
Sn (0.378, 0.500, 0.833) [2 per cell]
Pd (0.162, 0.500, 0.270) [2 per cell]
Pd (0.281, 0.500, 0.576) [2 per cell]
Pd (0.335, 0.000, 0.721) [2 per cell]
Pd (0.500, 0.500, 0.000) [1 per cell]

---

This entry pairs a crystal structure of Nd3CCl3 with its computed powder XRD pattern. Radiation: Cu Kα, 1.54184 Å. Structure: the GGA-PBE geometry in Alexandria.
Peak positions follow from Bragg's law for the DFT cell and can differ from measured ones.

Peak list (6 most intense, 15 to 90 degrees two-theta, in order of falling intensity)
32.11°, intensity 100, (4 0 0)
46.05°, intensity 64, (4 4 0)
27.72°, intensity 60, (2 2 2)
29.99°, intensity 47, (3 2 1)
37.85°, intensity 26, (3 3 2)
54.60°, intensity 22, (6 2 2)

Structure:
a = 11.149 Å, b = 11.149 Å, c = 11.149 Å
α = 90.00°, β = 90.00°, γ = 90.00°
Space group I4_132 (No. 214)
One atom of each set of equivalent atoms:
Nd (0.108, 0.358, 0.125) [24 per cell]
C (0.125, 0.125, 0.125) [8 per cell]
Cl (0.119, 0.131, 0.625) [24 per cell]